Computed X-ray powder pattern of TmCd3Co4O12 for Cu Ka, from a PBE+U-relaxed structure.

Most intense lines, 15 to 90 degrees two-theta, in order of falling intensity:
d (Å)  I (rel.)  hkl
2.622  1000  2 2 0
1.514  414  4 2 2
1.854  277  4 0 0
1.173  157  6 0 2
1.311  145  4 4 0
2.141  123  2 2 2
3.708  112  2 0 0
1.658  53  4 2 0
5.244  40  1 1 0
1.236  33  6 0 0

Atomic structure:
abc: 7.4161 7.4161 7.4161
angles: 90.00 90.00 90.00
Space group Im-3 (No. 204)
Symmetry-distinct sites (fractional):
Tm 0.0000 0.0000 0.0000 [2 per cell]
Cd 0.0000 0.0000 0.5000 [6 per cell]
Co 0.2500 0.2500 0.2500 [8 per cell]
O 0.0000 0.1957 0.2790 [24 per cell]